No. 1
Calculated powder diffraction line list
Compound: RbErZn2Cl8
Radiation: Cu Ka
Structure: a crystal structure in Alexandria, relaxed with PBE

The 6 most intense peaks (5 to 70 degrees two-theta), sorted by position:
- 2θ = 8.9°, rel. 28
- 2θ = 19.8°, rel. 100
- 2θ = 27.6°, rel. 40
- 2θ = 28.7°, rel. 29
- 2θ = 33.0°, rel. 29
- 2θ = 46.0°, rel. 39

Crystal structure
Cell lengths 10.645, 10.645, 10.645 Å; angles 35.35, 35.35, 35.35 degrees
Positions (direct):
Rb (0.000, 0.000, 0.000)
Er (0.500, 0.500, 0.500)
Zn (0.246, 0.246, 0.246)
Zn (0.754, 0.754, 0.754)
Cl (0.120, 0.445, 0.779)
Cl (0.221, 0.880, 0.555)
Cl (0.320, 0.320, 0.320)
Cl (0.445, 0.779, 0.120)
Cl (0.555, 0.221, 0.880)
Cl (0.680, 0.680, 0.680)
Cl (0.779, 0.120, 0.445)
Cl (0.880, 0.555, 0.221)



No. 2
Calculated powder diffraction line list
Compound: ErS8Cl2
Radiation: Cu Ka
Structure: a crystal structure in Alexandria, relaxed with PBE

The 6 most intense peaks (5 to 70 degrees two-theta), sorted by position:
- 2θ = 12.9°, rel. 100
- 2θ = 14.2°, rel. 92
- 2θ = 18.5°, rel. 69
- 2θ = 23.6°, rel. 31
- 2θ = 26.7°, rel. 30
- 2θ = 31.6°, rel. 38

Crystal structure
Cell lengths 6.391, 7.767, 7.856 Å; angles 63.16, 70.13, 75.31 degrees
Positions (direct):
Er (0.000, 0.000, 0.000)
S (0.015, 0.819, 0.396)
S (0.213, 0.023, 0.262)
S (0.428, 0.164, 0.725)
S (0.482, 0.428, 0.661)
S (0.518, 0.572, 0.339)
S (0.572, 0.836, 0.275)
S (0.787, 0.977, 0.738)
S (0.985, 0.181, 0.604)
Cl (0.281, 0.727, 0.940)
Cl (0.719, 0.273, 0.060)



No. 3
Calculated powder diffraction line list
Compound: ErSeCl
Radiation: Cu Ka
Structure: a crystal structure in Alexandria, relaxed with PBE

The 6 most intense peaks (5 to 70 degrees two-theta), sorted by position:
- 2θ = 10.8°, rel. 46
- 2θ = 15.7°, rel. 100
- 2θ = 24.7°, rel. 84
- 2θ = 33.5°, rel. 62
- 2θ = 33.9°, rel. 39
- 2θ = 42.3°, rel. 46

Crystal structure
Cell lengths 8.249, 8.249, 8.249 Å; angles 86.63, 86.63, 86.63 degrees
Positions (direct):
Er (0.162, 0.831, 0.342)
Er (0.169, 0.658, 0.838)
Er (0.342, 0.162, 0.831)
Er (0.658, 0.838, 0.169)
Er (0.831, 0.342, 0.162)
Er (0.838, 0.169, 0.658)
Se (0.035, 0.336, 0.874)
Se (0.126, 0.965, 0.664)
Se (0.336, 0.874, 0.035)
Se (0.664, 0.126, 0.965)
Se (0.874, 0.035, 0.336)
Se (0.965, 0.664, 0.126)
Cl (0.173, 0.570, 0.525)
Cl (0.430, 0.475, 0.827)
Cl (0.475, 0.827, 0.430)
Cl (0.525, 0.173, 0.570)
Cl (0.570, 0.525, 0.173)
Cl (0.827, 0.430, 0.475)



No. 4
Calculated powder diffraction line list
Compound: ErTlZnCl6
Radiation: Cu Ka
Structure: a crystal structure in Alexandria, relaxed with PBE

The 6 most intense peaks (5 to 70 degrees two-theta), sorted by position:
- 2θ = 19.8°, rel. 100
- 2θ = 26.6°, rel. 25
- 2θ = 33.4°, rel. 23
- 2θ = 36.9°, rel. 55
- 2θ = 43.2°, rel. 27
- 2θ = 58.8°, rel. 21

Crystal structure
Cell lengths 6.699, 6.699, 14.218 Å; angles 90.00, 90.00, 120.00 degrees
Positions (direct):
Er (0.333, 0.667, 0.250)
Er (0.667, 0.333, 0.750)
Tl (0.000, 0.000, 0.000)
Tl (0.000, 0.000, 0.500)
Zn (0.333, 0.667, 0.750)
Zn (0.667, 0.333, 0.250)
Cl (0.014, 0.381, 0.647)
Cl (0.014, 0.633, 0.853)
Cl (0.367, 0.381, 0.853)
Cl (0.367, 0.986, 0.647)
Cl (0.381, 0.014, 0.147)
Cl (0.381, 0.367, 0.353)
Cl (0.619, 0.633, 0.647)
Cl (0.619, 0.986, 0.853)
Cl (0.633, 0.014, 0.353)
Cl (0.633, 0.619, 0.147)
Cl (0.986, 0.367, 0.147)
Cl (0.986, 0.619, 0.353)